No. 1
Starting from a structure optimized by DFT (PBE), the PXRD pattern of PaGa2Cl8 was simulated for Cu Kα (weighted mean of Kα1 and Kα2).
Kinematic intensities with the Lorentz-polarization factor, no thermal factor.

abc: 9.858 8.479 9.122
angles: 90.00 96.15 90.00
Space group C2/m (No. 12)
Inequivalent atoms, fractional coordinates:
Pa (0.000, 0.000, 0.000) [2 per cell]
Ga (0.083, 0.000, 0.409) [4 per cell]
Cl (0.029, 0.204, 0.236) [8 per cell]
Cl (0.199, 0.500, 0.540) [4 per cell]
Cl (0.243, 0.500, 0.007) [4 per cell]

Principal peaks in the range 2θ from 15° to 90°, sorted by position:
| 2θ (°) | d_spacing | intensity |
| --- | --- | --- |
| 16.36 | 5.418 | 49 |
| 18.10 | 4.901 | 44 |
| 19.61 | 4.527 | 59 |
| 20.96 | 4.239 | 53 |
| 24.83 | 3.586 | 46 |
| 28.83 | 3.096 | 100 |
| 29.30 | 3.049 | 33 |
| 29.97 | 2.981 | 21 |
| 31.83 | 2.811 | 31 |
| 35.40 | 2.535 | 22 |
| 36.96 | 2.432 | 22 |
| 39.17 | 2.300 | 32 |



No. 2
Starting from a structure optimized by DFT (PBE), the PXRD pattern of K2RbCu2Cl7 was simulated for Cu Kα (weighted mean of Kα1 and Kα2).
Kinematic intensities with the Lorentz-polarization factor, no thermal factor.

abc: 6.943 6.943 13.035
angles: 90.00 105.39 90.00
Space group C2/m (No. 12)
Inequivalent atoms, fractional coordinates:
K (0.181, 0.000, 0.362) [4 per cell]
Rb (0.000, 0.000, 0.000) [2 per cell]
Cu (0.096, 0.500, 0.195) [4 per cell]
Cl (0.000, 0.500, 0.000) [2 per cell]
Cl (0.155, 0.250, 0.809) [8 per cell]
Cl (0.192, 0.500, 0.385) [4 per cell]

Principal peaks in the range 2θ from 15° to 90°, sorted by position:
| 2θ (°) | d_spacing | intensity |
| --- | --- | --- |
| 25.36 | 3.512 | 59 |
| 25.66 | 3.471 | 62 |
| 29.39 | 3.039 | 17 |
| 30.85 | 2.898 | 21 |
| 33.53 | 2.673 | 48 |
| 35.72 | 2.513 | 42 |
| 36.61 | 2.455 | 100 |
| 44.50 | 2.036 | 17 |
| 45.06 | 2.012 | 26 |
| 52.08 | 1.756 | 51 |
| 52.74 | 1.736 | 31 |
| 65.34 | 1.428 | 24 |



No. 3
Starting from a structure optimized by DFT (PBE), the PXRD pattern of LiTaTl2S4 was simulated for Cu Kα (weighted mean of Kα1 and Kα2).
Kinematic intensities with the Lorentz-polarization factor, no thermal factor.

abc: 6.524 6.536 6.798
angles: 112.31 115.73 98.72
Space group P1 (No. 1)
Inequivalent atoms, fractional coordinates:
Li (0.000, 0.000, 0.000) [1 per cell]
Ta (0.739, 0.238, 0.500) [1 per cell]
Tl (0.281, 0.779, 0.500) [1 per cell]
Tl (0.576, 0.574, 0.999) [1 per cell]
S (0.032, 0.587, 0.864) [1 per cell]
S (0.362, 0.224, 0.437) [1 per cell]
S (0.723, 0.169, 0.135) [1 per cell]
S (0.791, 0.925, 0.563) [1 per cell]

Principal peaks in the range 2θ from 15° to 90°, sorted by position:
| 2θ (°) | d_spacing | intensity |
| --- | --- | --- |
| 16.30 | 5.438 | 54 |
| 24.01 | 3.706 | 49 |
| 25.18 | 3.536 | 43 |
| 26.87 | 3.318 | 64 |
| 27.65 | 3.226 | 100 |
| 28.42 | 3.141 | 28 |
| 32.03 | 2.794 | 17 |
| 33.82 | 2.651 | 40 |
| 36.30 | 2.475 | 27 |
| 43.52 | 2.080 | 24 |
| 44.95 | 2.017 | 36 |
| 46.42 | 1.956 | 23 |



No. 4
Starting from a structure optimized by DFT (PBE), the PXRD pattern of Ta2MnIr9 was simulated for Cu Kα (weighted mean of Kα1 and Kα2).
Kinematic intensities with the Lorentz-polarization factor, no thermal factor.

abc: 4.777 6.166 6.776
angles: 111.29 90.31 104.41
Space group P-1 (No. 2)
Inequivalent atoms, fractional coordinates:
Ta (0.091, 0.269, 0.086) [2 per cell]
Mn (0.000, 0.500, 0.500) [1 per cell]
Ir (0.168, 0.998, 0.668) [2 per cell]
Ir (0.253, 0.758, 0.248) [2 per cell]
Ir (0.326, 0.495, 0.822) [2 per cell]
Ir (0.409, 0.258, 0.416) [2 per cell]
Ir (0.500, 0.000, 0.000) [1 per cell]

Principal peaks in the range 2θ from 15° to 90°, sorted by position:
| 2θ (°) | d_spacing | intensity |
| --- | --- | --- |
| 39.79 | 2.265 | 50 |
| 39.96 | 2.256 | 100 |
| 40.10 | 2.249 | 50 |
| 46.37 | 1.958 | 66 |
| 46.66 | 1.946 | 32 |
| 67.68 | 1.384 | 42 |
| 68.03 | 1.378 | 10 |
| 68.19 | 1.375 | 10 |
| 81.36 | 1.183 | 13 |
| 81.50 | 1.181 | 13 |
| 81.66 | 1.179 | 19 |
| 81.80 | 1.177 | 13 |



No. 5
Starting from a structure optimized by DFT (PBE), the PXRD pattern of Mg6CuCO8 was simulated for Cu Kα (weighted mean of Kα1 and Kα2).
Kinematic intensities with the Lorentz-polarization factor, no thermal factor.

abc: 4.218 4.218 8.456
angles: 90.00 90.00 90.00
Space group P4/mmm (No. 123)
Inequivalent atoms, fractional coordinates:
Mg (0.000, 0.000, 0.000) [1 per cell]
Mg (0.000, 0.000, 0.500) [1 per cell]
Mg (0.000, 0.500, 0.247) [4 per cell]
Cu (0.500, 0.500, 0.500) [1 per cell]
C (0.500, 0.500, 0.000) [1 per cell]
O (0.000, 0.000, 0.249) [2 per cell]
O (0.000, 0.500, 0.000) [2 per cell]
O (0.000, 0.500, 0.500) [2 per cell]
O (0.500, 0.500, 0.245) [2 per cell]

Principal peaks in the range 2θ from 15° to 90°, sorted by position:
| 2θ (°) | d_spacing | intensity |
| --- | --- | --- |
| 21.05 | 4.221 | 7 |
| 23.57 | 3.774 | 24 |
| 31.80 | 2.814 | 17 |
| 36.88 | 2.437 | 25 |
| 38.41 | 2.343 | 8 |
| 42.78 | 2.114 | 50 |
| 42.89 | 2.109 | 100 |
| 44.24 | 2.047 | 9 |
| 49.51 | 1.841 | 7 |
| 62.21 | 1.492 | 83 |
| 74.62 | 1.272 | 9 |
| 78.50 | 1.219 | 25 |



No. 6
Starting from a structure optimized by DFT (PBE), the PXRD pattern of CsAg2PbF8 was simulated for Cu Kα (weighted mean of Kα1 and Kα2).
Kinematic intensities with the Lorentz-polarization factor, no thermal factor.

abc: 5.114 5.680 8.296
angles: 78.51 81.36 86.08
Space group P-1 (No. 2)
Inequivalent atoms, fractional coordinates:
Cs (0.000, 0.000, 0.000) [1 per cell]
Ag (0.429, 0.476, 0.223) [2 per cell]
Pb (0.000, 0.000, 0.500) [1 per cell]
F (0.125, 0.756, 0.704) [2 per cell]
F (0.201, 0.792, 0.329) [2 per cell]
F (0.327, 0.228, 0.465) [2 per cell]
F (0.471, 0.275, 0.011) [2 per cell]

Principal peaks in the range 2θ from 15° to 90°, sorted by position:
| 2θ (°) | d_spacing | intensity |
| --- | --- | --- |
| 17.56 | 5.051 | 27 |
| 19.40 | 4.577 | 32 |
| 23.31 | 3.816 | 100 |
| 24.27 | 3.668 | 83 |
| 24.70 | 3.605 | 77 |
| 26.31 | 3.387 | 45 |
| 29.79 | 2.999 | 52 |
| 30.26 | 2.953 | 32 |
| 35.54 | 2.526 | 25 |
| 37.81 | 2.380 | 32 |
| 41.93 | 2.155 | 31 |
| 45.02 | 2.014 | 28 |



No. 7
Starting from a structure optimized by DFT (PBE), the PXRD pattern of La3Pr7Nd was simulated for Cu Kα (weighted mean of Kα1 and Kα2).
Kinematic intensities with the Lorentz-polarization factor, no thermal factor.

abc: 6.092 11.565 11.653
angles: 90.00 90.00 90.00
Space group Immm (No. 71)
Inequivalent atoms, fractional coordinates:
La (0.000, 0.000, 0.000) [2 per cell]
La (0.000, 0.290, 0.500) [4 per cell]
Pr (0.000, 0.000, 0.500) [2 per cell]
Pr (0.000, 0.202, 0.201) [8 per cell]
Pr (0.000, 0.500, 0.292) [4 per cell]
Nd (0.000, 0.500, 0.000) [2 per cell]

Principal peaks in the range 2θ from 15° to 90°, sorted by position:
| 2θ (°) | d_spacing | intensity |
| --- | --- | --- |
| 24.17 | 3.682 | 19 |
| 29.32 | 3.046 | 79 |
| 30.69 | 2.913 | 31 |
| 30.93 | 2.891 | 32 |
| 31.39 | 2.850 | 100 |
| 31.46 | 2.843 | 95 |
| 38.40 | 2.344 | 21 |
| 42.96 | 2.105 | 24 |
| 43.14 | 2.097 | 25 |
| 53.34 | 1.718 | 44 |
| 59.77 | 1.547 | 19 |
| 60.16 | 1.538 | 18 |



No. 8
Starting from a structure optimized by DFT (PBE), the PXRD pattern of Rb2CdPb2 was simulated for Cu Kα (weighted mean of Kα1 and Kα2).
Kinematic intensities with the Lorentz-polarization factor, no thermal factor.

abc: 11.833 7.653 9.410
angles: 90.00 98.84 90.00
Space group C2/c (No. 15)
Inequivalent atoms, fractional coordinates:
Rb (0.146, 0.138, 0.139) [8 per cell]
Cd (0.000, 0.425, 0.750) [4 per cell]
Pb (0.137, 0.356, 0.508) [8 per cell]

Principal peaks in the range 2θ from 15° to 90°, sorted by position:
| 2θ (°) | d_spacing | intensity |
| --- | --- | --- |
| 16.13 | 5.494 | 40 |
| 17.46 | 5.078 | 34 |
| 19.09 | 4.649 | 30 |
| 25.17 | 3.538 | 29 |
| 26.26 | 3.394 | 30 |
| 28.70 | 3.111 | 92 |
| 29.93 | 2.985 | 41 |
| 30.28 | 2.952 | 100 |
| 30.98 | 2.887 | 45 |
| 33.61 | 2.666 | 38 |
| 38.72 | 2.325 | 40 |
| 40.11 | 2.248 | 33 |